Starting from a cell relaxed with GGA+U, the PXRD pattern of Cs2MoI6F was simulated for Cu Kα X-rays.
No peak broadening, texture or thermal motion is included.

Most intense lines, 2θ = 10–90°, most intense first:
2θ (°), I/Imax, index
26.4, 100.0, 2 0 2
31.9, 50.7, 2 2 0
42.7, 39.5, 2 2 4
27.7, 32.7, 0 0 4
53.5, 27.7, 4 2 2
54.3, 19.3, 4 0 4
45.7, 18.4, 4 0 0
48.1, 14.1, 2 0 6
82.4, 11.6, 6 2 4
13.1, 10.1, 1 0 1

Atomic structure:
Unit cell a=7.9398 b=7.9398 c=12.9005 alpha=90.00 beta=90.00 gamma=90.00
Space group I4/mmm (No. 139)
Unique sites:
1 Cs 0.0000 0.5000 0.2500 [4 per cell]
2 Mo 0.0000 0.0000 0.0000 [2 per cell]
3 I 0.0000 0.0000 0.2205 [4 per cell]
4 I 0.2494 0.2494 0.5000 [8 per cell]
5 F 0.0000 0.0000 0.5000 [2 per cell]